For In2P2O7, DFT lattice parameters and positions (GGA-PBE) gives the theoretical PXRD pattern in this record (Cu Kα).

Main lines, in order of rising 2θ (2θ = 5–70°):
2θ/deg	Rel. int.	index
21.51	41	0 0 2
23.10	34	0 1 2
24.23	24	2 0 0
24.86	32	1 2 1
27.37	55	0 3 1
27.98	59	1 3 0
28.87	100	1 1 2
29.02	100	2 2 -1
32.45	29	1 1 -3
40.57	26	1 3 -3

Crystal structure
```
data_In2P2O7
_space_group_name_H-M_alt 'P 1 21/c 1'
_space_group_IT_number 14
_space_group_name_Hall '-P 2ybc'
_cell_length_a 7.658
_cell_length_b 10.620
_cell_length_c 8.611
_cell_angle_alpha 90.00
_cell_angle_beta 106.39
_cell_angle_gamma 90.00
loop_
_atom_site_label
_atom_site_type_symbol
_atom_site_fract_x
_atom_site_fract_y
_atom_site_fract_z
In1 In 0.171 0.180 0.065
In2 In 0.239 0.601 0.258
P1 P 0.130 0.598 0.825
P2 P 0.436 0.635 0.691
O1 O 0.007 0.004 0.221
O2 O 0.073 0.729 0.750
O3 O 0.135 0.592 0.001
O4 O 0.317 0.604 0.521
O5 O 0.334 0.569 0.814
O6 O 0.374 0.077 0.765
O7 O 0.455 0.724 0.234
```